For TbPu3As4, a GGA-PBE-relaxed structure gives the calculated PXRD pattern in this record (Cu Kα (weighted mean of Kα1 and Kα2)).
Neutral-atom scattering factors, no anomalous dispersion.

Atomic structure:
Unit cell a=7.1528 b=7.1528 c=4.1367 alpha=90.00 beta=90.00 gamma=109.51
Element x y z (fractional)
Tb  0.0000  0.0000  0.0000
Pu  0.0000  0.5000  0.5000
Pu  0.5000  0.0000  0.5000
Pu  0.5000  0.5000  0.0000
As  0.2499  0.7501  0.0000
As  0.2519  0.2519  0.5000
As  0.7481  0.7481  0.5000
As  0.7501  0.2499  0.0000

Principal peaks in the range 2θ = 10–90°, sorted by position:
d/Å  Position (°2θ)  intensity
3.374  26.4  42
2.922  30.6  100
2.066  43.8  76
1.762  51.9  21
1.687  54.4  27
1.461  63.7  13
1.307  72.3  29
1.306  72.4  6
1.193  80.5  13
1.192  80.6  13



For TmPuTeAs, a GGA-PBE-relaxed structure gives the calculated PXRD pattern in this record (Cu Kα (weighted mean of Kα1 and Kα2)).
Neutral-atom scattering factors, no anomalous dispersion.

Atomic structure:
Unit cell a=7.4481 b=7.4481 c=7.4481 alpha=32.86 beta=32.86 gamma=32.86
Element x y z (fractional)
Tm  0.0000  0.0000  0.0000
Pu  0.4821  0.4821  0.4821
Te  0.2433  0.2433  0.2433
As  0.7380  0.7380  0.7380

Principal peaks in the range 2θ = 10–90°, sorted by position:
d/Å  Position (°2θ)  intensity
3.449  25.8  15
3.002  29.8  100
2.761  32.4  7
2.139  42.3  35
2.107  42.9  39
1.725  53.1  20
1.501  61.8  11
1.351  69.6  13
1.335  70.6  17
1.222  78.2  12



For PuTiAs, a GGA-PBE-relaxed structure gives the calculated PXRD pattern in this record (Cu Kα (weighted mean of Kα1 and Kα2)).
Neutral-atom scattering factors, no anomalous dispersion.

Atomic structure:
Unit cell a=8.1520 b=8.1520 c=8.1520 alpha=151.45 beta=151.45 gamma=40.82
Element x y z (fractional)
Pu  0.1769  0.1769  0.0000
Pu  0.8231  0.8231  0.0000
Ti  0.0000  0.5000  0.5000
Ti  0.5000  0.0000  0.5000
As  0.3812  0.3812  0.0000
As  0.6188  0.6188  0.0000

Principal peaks in the range 2θ = 10–90°, sorted by position:
d/Å  Position (°2θ)  intensity
7.640  11.6  40
3.156  28.3  100
2.843  31.5  81
2.664  33.6  66
2.433  36.9  88
2.281  39.5  43
2.010  45.1  56
1.695  54.1  35
1.564  59.1  28
1.550  59.7  45



Q: What is the formula in the third record?
A: PuTiAs